Diffraction record for NaMn3O4. The X-ray powder pattern is simulated, not measured: it uses the PBE+U geometry in the Materials Project and copper Kα.

Most intense lines, 5° ≤ 2θ ≤ 70°, sorted by position:
- 5.181 Å, 2θ 17.1, I 45
- 2.591 Å, 2θ 34.6, I 67
- 2.581 Å, 2θ 34.8, I 67
- 2.343 Å, 2θ 38.4, I 100
- 2.197 Å, 2θ 41.1, I 77
- 2.189 Å, 2θ 41.2, I 77
- 1.607 Å, 2θ 57.3, I 25
- 1.599 Å, 2θ 57.7, I 75
- 1.551 Å, 2θ 59.6, I 43
- 1.397 Å, 2θ 67.0, I 10

Cell and atoms:
Cell: 6.441 8.755 6.405 Å, 90.00 93.68 90.00°
Space group C2/c (No. 15)
Inequivalent atoms, fractional coordinates:
Na: 0.000 0.000 0.000 x4
Mn: 0.000 0.500 0.000 x4
Mn: 0.249 0.251 0.248 x8
O: 0.000 0.271 0.000 x8
O: 0.224 0.500 0.224 x8